[1]
For Ga7Ni3, a crystal structure in OQMD, relaxed with GGA-PBE gives the theoretical X-ray powder pattern in this record (Cu Kα, 1.54184 Å).
Peak positions follow from Bragg's law for the DFT cell and can differ from measured ones.

Peak list (10 most intense, 10 to 80 degrees two-theta, sorted by position)
Position (°2θ)  Rel. int.
25.82  118
33.53  316
36.84  394
39.91  425
45.54  1000
48.15  122
53.09  172
66.37  175
68.43  132
72.48  123

Crystal structure
Lattice parameters (Å, degrees): 7.3191 7.3191 7.3191 109.47 109.47 109.47
Positions (direct):
Ga  0.0000  0.0000  0.3227
Ga  0.0000  0.0000  0.6773
Ga  0.0000  0.3227  0.0000
Ga  0.0000  0.6773  0.0000
Ga  0.2500  0.5000  0.7500
Ga  0.2500  0.7500  0.5000
Ga  0.3227  0.0000  0.0000
Ga  0.3227  0.3227  0.3227
Ga  0.5000  0.2500  0.7500
Ga  0.5000  0.7500  0.2500
Ga  0.6773  0.0000  0.0000
Ga  0.6773  0.6773  0.6773
Ga  0.7500  0.2500  0.5000
Ga  0.7500  0.5000  0.2500
Ni  0.0000  0.3501  0.3501
Ni  0.0000  0.6499  0.6499
Ni  0.3501  0.0000  0.3501
Ni  0.3501  0.3501  0.0000
Ni  0.6499  0.0000  0.6499
Ni  0.6499  0.6499  0.0000



[2]
For Pr2Ga12Ni, a crystal structure in OQMD, relaxed with GGA-PBE gives the theoretical X-ray powder pattern in this record (Cu Kα, 1.54184 Å).
Peak positions follow from Bragg's law for the DFT cell and can differ from measured ones.

Peak list (10 most intense, 10 to 80 degrees two-theta, sorted by position)
Position (°2θ)  Rel. int.
31.11  529
31.73  1000
37.69  273
40.76  355
42.22  617
46.16  252
53.36  272
60.12  136
61.24  134
68.91  197

Crystal structure
Lattice parameters (Å, degrees): 6.0538 6.0538 15.5206 90.00 90.00 90.00
Positions (direct):
Pr  0.2500  0.7500  0.2445
Pr  0.2500  0.7500  0.7555
Pr  0.7500  0.2500  0.2445
Pr  0.7500  0.2500  0.7555
Ga  0.0004  0.9996  0.0833
Ga  0.9996  0.0004  0.9167
Ga  0.9996  0.4996  0.0833
Ga  0.0004  0.5004  0.9167
Ga  0.0733  0.5733  0.4283
Ga  0.0733  0.9267  0.5717
Ga  0.2500  0.2500  0.1814
Ga  0.2500  0.2500  0.3398
Ga  0.2500  0.2500  0.6602
Ga  0.2500  0.2500  0.8186
Ga  0.4267  0.5733  0.5717
Ga  0.4267  0.9267  0.4283
Ga  0.5004  0.0004  0.0833
Ga  0.4996  0.9996  0.9167
Ga  0.4996  0.5004  0.0833
Ga  0.5004  0.4996  0.9167
Ga  0.5733  0.0733  0.5717
Ga  0.5733  0.4267  0.4283
Ga  0.7500  0.7500  0.1814
Ga  0.7500  0.7500  0.3398
Ga  0.7500  0.7500  0.6602
Ga  0.7500  0.7500  0.8186
Ga  0.9267  0.0733  0.4283
Ga  0.9267  0.4267  0.5717
Ni  0.2500  0.7500  0.0000
Ni  0.7500  0.2500  0.0000



[3]
For TbPrGa2Ni4, a crystal structure in OQMD, relaxed with GGA-PBE gives the theoretical X-ray powder pattern in this record (Cu Kα, 1.54184 Å).
Peak positions follow from Bragg's law for the DFT cell and can differ from measured ones.

Peak list (10 most intense, 10 to 80 degrees two-theta, sorted by position)
Position (°2θ)  Rel. int.
31.39  1000
34.98  306
35.12  351
39.30  915
40.49  212
41.95  365
44.64  367
45.31  426
50.15  223
65.50  227

Crystal structure
Lattice parameters (Å, degrees): 4.0026 5.1101 6.6835 90.00 90.00 90.00
Positions (direct):
Tb  0.0000  0.0000  0.0000
Pr  0.0000  0.5000  0.5948
Ga  0.5000  0.0000  0.6243
Ga  0.5000  0.5000  0.9662
Ni  0.0000  0.0000  0.4112
Ni  0.0000  0.5000  0.1674
Ni  0.5000  0.2463  0.2889
Ni  0.5000  0.7537  0.2889



Question: What is the formula in the third record?
Answer: TbPrGa2Ni4